1.
Starting from DFT lattice parameters and positions (PBE+U), the XRD peak list of Sr2La2MgMnO8 was calculated for copper Kα.
Peak positions follow from Bragg's law for the DFT cell and can differ from measured ones.

Cell and atoms:
```
28
Lattice="5.500 0.000 0.000 0.000 5.504 0.000 0.000 0.000 12.589" Properties=species:S:1:pos:R:3 pbc="T T T"
Sr 0.000 0.000 0.000
Sr 0.000 0.000 3.567
Sr 0.000 2.752 9.888
Sr 2.750 0.000 6.262
La 0.000 2.752 6.349
La 2.750 0.000 9.813
La 2.750 2.752 0.012
La 2.750 2.752 3.561
Mg 2.750 0.000 1.805
Mg 2.750 2.752 8.073
Mn 0.000 0.000 8.073
Mn 0.000 2.752 1.752
O 0.000 0.000 6.085
O 0.000 0.000 10.074
O 0.000 2.752 3.898
O 0.000 2.752 12.381
O 1.329 1.352 8.073
O 1.329 4.153 8.073
O 1.361 1.449 1.766
O 1.361 4.056 1.766
O 2.750 0.000 3.876
O 2.750 0.000 12.124
O 2.750 2.752 5.875
O 2.750 2.752 10.286
O 4.139 1.449 1.766
O 4.139 4.056 1.766
O 4.172 1.352 8.073
O 4.172 4.153 8.073
```

Most intense lines, 15 to 90 degrees two-theta, by angle:
| 2θ (°) | Rel. int. |
| --- | --- |
| 23.9 | 32 |
| 28.4 | 17 |
| 31.4 | 100 |
| 32.5 | 76 |
| 42.8 | 15 |
| 43.7 | 43 |
| 46.7 | 41 |
| 56.4 | 13 |
| 57.3 | 37 |
| 65.4 | 13 |


2.
Starting from DFT lattice parameters and positions (PBE+U), the XRD peak list of Sr2La2MgMnO8 was calculated for copper Kα.
Peak positions follow from Bragg's law for the DFT cell and can differ from measured ones.

Cell and atoms:
```
28
Lattice="6.604 -1.949 0.000 6.604 1.949 0.000 -4.693 0.000 14.863" Properties=species:S:1:pos:R:3 pbc="T T T"
Sr 1.718 0.000 0.528
Sr -1.777 0.000 11.679
Sr 10.291 0.000 3.184
Sr 6.796 0.000 14.335
La -0.699 0.000 7.961
La 0.466 0.000 4.278
La 8.048 0.000 10.585
La 9.213 0.000 6.902
Mg 4.791 0.000 5.536
Mg 3.723 0.000 9.328
Mn 5.992 0.000 1.842
Mn 2.522 0.000 13.021
O -0.550 0.000 1.871
O -1.701 0.000 5.557
O 2.672 0.000 5.025
O 1.518 0.000 8.666
O 4.122 0.000 1.255
O 0.630 0.000 12.336
O 6.604 0.000 0.000
O 5.454 0.000 3.631
O 4.257 0.000 7.432
O 3.060 0.000 11.232
O 7.884 0.000 2.527
O 4.392 0.000 13.608
O 6.996 0.000 6.198
O 5.842 0.000 9.839
O 10.215 0.000 9.307
O 9.064 0.000 12.992
```

Most intense lines, 15 to 90 degrees two-theta, by angle:
| 2θ (°) | Rel. int. |
| --- | --- |
| 23.9 | 44 |
| 31.2 | 33 |
| 31.3 | 65 |
| 31.4 | 33 |
| 32.5 | 100 |
| 43.5 | 29 |
| 43.8 | 28 |
| 46.6 | 54 |
| 57.1 | 23 |
| 57.3 | 26 |